Simulated X-ray powder pattern of AlWF5 for Cu Kα (weighted mean of Kα1 and Kα2), from a structure optimized by DFT (GGA+U).
Intensities are scaled so that the largest is 100.

Main lines, sorted by position (15° ≤ 2θ ≤ 90°):
2θ/deg  I (rel.)
17.5  98
22.5  86
26.1  35
26.9  55
27.1  100
35.5  41
37.8  71
47.6  26
50.4  36
54.1  33

Crystal structure
Lattice parameters (Å, degrees): 5.4969 5.4969 5.4969 139.67 105.75 88.07
Positions (direct):
1 Al 0.0000 0.0000 0.0000
2 W 0.5000 0.5000 0.0000
3 F 0.0000 0.5000 0.5000
4 F 0.2273 0.2273 0.0000
5 F 0.2754 0.0000 0.2754
6 F 0.7246 0.0000 0.7246
7 F 0.7727 0.7727 0.0000